Calculated PXRD pattern
Compound: AcLaPr2Sm2
Radiation: Cu Ka
Structure: the GGA-PBE geometry in Alexandria
Peak positions follow from Bragg's law for the DFT cell and can differ from measured ones.

Structure:
```
AcLaPr2Sm2
1.0
7.354 0.000 0.000
0.000 5.901 0.000
0.000 0.000 10.183
Ac La Pr Sm
2 2 4 4
Cartesian
0.000 0.000 0.000
3.677 0.000 0.000
1.838 2.951 1.736
5.515 2.951 8.447
0.000 2.951 5.091
1.838 0.000 6.757
3.677 2.951 5.091
5.515 0.000 3.426
1.838 0.000 3.419
1.838 2.951 8.461
5.515 0.000 6.763
5.515 2.951 1.722
```

Main lines, in order of falling intensity (2θ from 15° to 90°):
30.35°, d 2.945, I = 100.0, hkl 0 2 0; 29.96°, d 2.983, I = 99.2, hkl 2 0 2; 43.17°, d 2.096, I = 36.9, hkl 2 2 2; 59.25°, d 1.560, I = 30.2, hkl 4 2 0; 53.64°, d 1.709, I = 26.1, hkl 2 3 1; 53.87°, d 1.702, I = 13.4, hkl 0 3 3; 53.75°, d 1.706, I = 13.1, hkl 2 1 5; 87.54°, d 1.114, I = 10.2, hkl 0 5 3; 76.23°, d 1.249, I = 9.6, hkl 4 3 3; 49.59°, d 1.838, I = 8.6, hkl 4 0 0